(1)
# Ho7Pd2Au2
Theoretical PXRD pattern, CuKα. Input: the GGA-PBE geometry in Alexandria.

Structural model:
a b c (Å): 9.3788 9.3788 9.3788
angles (deg): 156.78 66.82 118.33
Fractional positions:
Ho: 0.0000 0.0000 0.0000
Ho: 0.2856 0.4020 0.8836
Ho: 0.2980 0.6095 0.6885
Ho: 0.5184 0.4020 0.1164
Ho: 0.6180 0.2481 0.3698
Ho: 0.8783 0.2481 0.6302
Ho: 0.9209 0.6095 0.3115
Pd: 0.1465 0.9064 0.2401
Pd: 0.6662 0.9064 0.7599
Au: 0.2412 0.7412 0.5000
Au: 0.6502 0.6502 0.0000

Largest 8 diffraction maxima, most intense first, 2θ = 5–70°:
d = 2.615 Å, 2θ = 34.3°, intensity 100; d = 2.731 Å, 2θ = 32.8°, intensity 45; d = 2.917 Å, 2θ = 30.6°, intensity 41; d = 2.581 Å, 2θ = 34.8°, intensity 36; d = 2.332 Å, 2θ = 38.6°, intensity 27; d = 1.888 Å, 2θ = 48.2°, intensity 25; d = 2.295 Å, 2θ = 39.3°, intensity 23; d = 2.978 Å, 2θ = 30.0°, intensity 22



(2)
# HoPd2Au3
Theoretical PXRD pattern, CuKα. Input: the GGA-PBE geometry in Alexandria.

Structural model:
a b c (Å): 5.1725 5.1725 9.2359
angles (deg): 100.10 100.10 111.01
Fractional positions:
Ho: 0.1255 0.8745 0.7500
Ho: 0.8745 0.1255 0.2500
Pd: 0.0445 0.2959 0.5928
Pd: 0.2959 0.0445 0.0928
Pd: 0.7041 0.9555 0.9072
Pd: 0.9555 0.7041 0.4072
Au: 0.2132 0.4620 0.9272
Au: 0.3767 0.6233 0.2500
Au: 0.4620 0.2132 0.4272
Au: 0.5380 0.7868 0.5728
Au: 0.6233 0.3767 0.7500
Au: 0.7868 0.5380 0.0728

Largest 8 diffraction maxima, most intense first, 2θ = 5–70°:
d = 2.414 Å, 2θ = 37.3°, intensity 100; d = 2.132 Å, 2θ = 42.4°, intensity 18; d = 2.079 Å, 2θ = 43.5°, intensity 16; d = 2.062 Å, 2θ = 43.9°, intensity 16; d = 1.488 Å, 2θ = 62.4°, intensity 11; d = 1.482 Å, 2θ = 62.7°, intensity 11; d = 1.464 Å, 2θ = 63.5°, intensity 10; d = 4.656 Å, 2θ = 19.1°, intensity 5



(3)
# HoPd3Au7
Theoretical PXRD pattern, CuKα. Input: the GGA-PBE geometry in Alexandria.

Structural model:
a b c (Å): 6.9664 6.9664 5.1482
angles (deg): 110.64 110.64 90.18
Fractional positions:
Ho: 0.0000 0.0000 0.0000
Pd: 0.2669 0.7331 0.5000
Pd: 0.5000 0.5000 0.0000
Pd: 0.7331 0.2669 0.5000
Au: 0.0000 0.0000 0.5000
Au: 0.0905 0.5651 0.8273
Au: 0.3293 0.3293 0.3418
Au: 0.4349 0.9095 0.1727
Au: 0.5651 0.0905 0.8273
Au: 0.6707 0.6707 0.6582
Au: 0.9095 0.4349 0.1727

Largest 8 diffraction maxima, most intense first, 2θ = 5–70°:
d = 2.573 Å, 2θ = 34.9°, intensity 100; d = 2.467 Å, 2θ = 36.4°, intensity 84; d = 2.242 Å, 2θ = 40.2°, intensity 82; d = 2.200 Å, 2θ = 41.0°, intensity 78; d = 1.781 Å, 2θ = 51.3°, intensity 63; d = 2.730 Å, 2θ = 32.8°, intensity 32; d = 3.225 Å, 2θ = 27.7°, intensity 24; d = 1.424 Å, 2θ = 65.6°, intensity 19



(4)
# HoPd5Au
Theoretical PXRD pattern, CuKα. Input: the GGA-PBE geometry in Alexandria.

Structural model:
a b c (Å): 4.1087 4.1087 7.6805
angles (deg): 90.00 90.00 90.00
Fractional positions:
Ho: 0.0000 0.0000 0.0000
Pd: 0.0000 0.5000 0.2639
Pd: 0.0000 0.5000 0.7361
Pd: 0.5000 0.0000 0.2639
Pd: 0.5000 0.0000 0.7361
Pd: 0.5000 0.5000 0.0000
Au: 0.0000 0.0000 0.5000

Largest 8 diffraction maxima, most intense first, 2θ = 5–70°:
d = 2.317 Å, 2θ = 38.9°, intensity 100; d = 2.054 Å, 2θ = 44.1°, intensity 35; d = 1.403 Å, 2θ = 66.7°, intensity 19; d = 4.109 Å, 2θ = 21.6°, intensity 17; d = 1.920 Å, 2θ = 47.3°, intensity 14; d = 2.806 Å, 2θ = 31.9°, intensity 13; d = 1.453 Å, 2θ = 64.1°, intensity 12; d = 3.623 Å, 2θ = 24.6°, intensity 8



(5)
# HoPd8Au2
Theoretical PXRD pattern, CuKα. Input: the GGA-PBE geometry in Alexandria.

Structural model:
a b c (Å): 6.8383 6.8383 4.3518
angles (deg): 90.00 90.00 106.03
Fractional positions:
Ho: 0.0000 0.0000 0.0000
Pd: 0.0346 0.3040 0.5000
Pd: 0.2453 0.7547 0.0000
Pd: 0.3040 0.0346 0.5000
Pd: 0.3329 0.3329 0.0000
Pd: 0.6671 0.6671 0.0000
Pd: 0.6960 0.9654 0.5000
Pd: 0.7547 0.2453 0.0000
Pd: 0.9654 0.6960 0.5000
Au: 0.3768 0.6232 0.5000
Au: 0.6232 0.3768 0.5000

Largest 8 diffraction maxima, most intense first, 2θ = 5–70°:
d = 2.313 Å, 2θ = 38.9°, intensity 100; d = 2.270 Å, 2θ = 39.7°, intensity 87; d = 2.176 Å, 2θ = 41.5°, intensity 43; d = 2.191 Å, 2θ = 41.2°, intensity 42; d = 1.544 Å, 2θ = 59.9°, intensity 28; d = 4.114 Å, 2θ = 21.6°, intensity 21; d = 1.709 Å, 2θ = 53.6°, intensity 16; d = 3.628 Å, 2θ = 24.5°, intensity 13



(6)
# PmHo2Au2
Theoretical PXRD pattern, CuKα. Input: the GGA-PBE geometry in Alexandria.

Structural model:
a b c (Å): 5.0125 5.0125 6.3396
angles (deg): 90.00 90.00 120.00
Fractional positions:
Pm: 0.0000 0.0000 0.0000
Ho: 0.3333 0.6667 0.6666
Ho: 0.6667 0.3333 0.3334
Au: 0.3333 0.6667 0.2057
Au: 0.6667 0.3333 0.7943

Largest 8 diffraction maxima, most intense first, 2θ = 5–70°:
d = 2.506 Å, 2θ = 35.8°, intensity 100; d = 2.560 Å, 2θ = 35.1°, intensity 95; d = 1.457 Å, 2θ = 63.9°, intensity 34; d = 1.791 Å, 2θ = 51.0°, intensity 33; d = 3.582 Å, 2θ = 24.9°, intensity 25; d = 4.341 Å, 2θ = 20.5°, intensity 24; d = 1.447 Å, 2θ = 64.4°, intensity 18; d = 1.489 Å, 2θ = 62.4°, intensity 17



(7)
# PrHo4Au5
Theoretical PXRD pattern, CuKα. Input: the GGA-PBE geometry in Alexandria.

Structural model:
a b c (Å): 3.5837 3.5837 18.3776
angles (deg): 90.00 90.00 90.00
Fractional positions:
Pr: 0.0000 0.0000 0.0000
Ho: 0.0000 0.0000 0.2050
Ho: 0.0000 0.0000 0.4016
Ho: 0.0000 0.0000 0.5984
Ho: 0.0000 0.0000 0.7950
Au: 0.5000 0.5000 0.1134
Au: 0.5000 0.5000 0.3039
Au: 0.5000 0.5000 0.5000
Au: 0.5000 0.5000 0.6961
Au: 0.5000 0.5000 0.8866

Largest 8 diffraction maxima, most intense first, 2θ = 5–70°:
d = 2.566 Å, 2θ = 35.0°, intensity 100; d = 2.534 Å, 2θ = 35.4°, intensity 51; d = 1.469 Å, 2θ = 63.3°, intensity 36; d = 1.792 Å, 2θ = 51.0°, intensity 18; d = 1.488 Å, 2θ = 62.4°, intensity 16; d = 1.838 Å, 2θ = 49.6°, intensity 8; d = 2.328 Å, 2θ = 38.7°, intensity 2; d = 1.395 Å, 2θ = 67.1°, intensity 2



(8)
# PrHo2Au4
Theoretical PXRD pattern, CuKα. Input: the GGA-PBE geometry in Alexandria.

Structural model:
a b c (Å): 5.0925 5.0925 6.8994
angles (deg): 90.00 90.00 90.00
Fractional positions:
Pr: 0.0000 0.0000 0.0000
Ho: 0.0000 0.0000 0.5000
Ho: 0.5000 0.5000 0.0000
Au: 0.0000 0.5000 0.2599
Au: 0.0000 0.5000 0.7401
Au: 0.5000 0.0000 0.2599
Au: 0.5000 0.0000 0.7401

Largest 8 diffraction maxima, most intense first, 2θ = 5–70°:
d = 2.491 Å, 2θ = 36.1°, intensity 100; d = 2.546 Å, 2θ = 35.2°, intensity 54; d = 1.459 Å, 2θ = 63.8°, intensity 39; d = 1.800 Å, 2θ = 50.7°, intensity 19; d = 1.428 Å, 2θ = 65.3°, intensity 17; d = 3.601 Å, 2θ = 24.7°, intensity 9; d = 1.725 Å, 2θ = 53.1°, intensity 8; d = 4.097 Å, 2θ = 21.7°, intensity 8



(9)
# HoPt3Au
Theoretical PXRD pattern, CuKα. Input: the GGA-PBE geometry in Alexandria.

Structural model:
a b c (Å): 4.6084 5.8483 7.1452
angles (deg): 90.00 90.00 90.00
Fractional positions:
Ho: 0.2500 0.2500 0.1797
Ho: 0.7500 0.7500 0.8203
Pt: 0.2500 0.0254 0.7588
Pt: 0.2500 0.4746 0.7588
Pt: 0.2500 0.7500 0.0793
Pt: 0.7500 0.2500 0.9207
Pt: 0.7500 0.5254 0.2412
Pt: 0.7500 0.9746 0.2412
Au: 0.2500 0.7500 0.4534
Au: 0.7500 0.2500 0.5466

Largest 8 diffraction maxima, most intense first, 2θ = 5–70°:
d = 2.334 Å, 2θ = 38.6°, intensity 100; d = 2.543 Å, 2θ = 35.3°, intensity 55; d = 2.304 Å, 2θ = 39.1°, intensity 49; d = 2.116 Å, 2θ = 42.7°, intensity 40; d = 2.263 Å, 2θ = 39.8°, intensity 29; d = 1.614 Å, 2θ = 57.0°, intensity 21; d = 2.206 Å, 2θ = 40.9°, intensity 10; d = 1.462 Å, 2θ = 63.6°, intensity 10



(10)
# Ho3PtAu
Theoretical PXRD pattern, CuKα. Input: the GGA-PBE geometry in Alexandria.

Structural model:
a b c (Å): 4.1424 7.1331 8.7951
angles (deg): 90.00 90.00 90.00
Fractional positions:
Ho: 0.2500 0.0067 0.1725
Ho: 0.2500 0.2500 0.5595
Ho: 0.2500 0.4933 0.1725
Ho: 0.7500 0.5067 0.8275
Ho: 0.7500 0.7500 0.4405
Ho: 0.7500 0.9933 0.8275
Pt: 0.2500 0.2500 0.9056
Pt: 0.7500 0.7500 0.0944
Au: 0.2500 0.7500 0.6675
Au: 0.7500 0.2500 0.3325

Largest 8 diffraction maxima, most intense first, 2θ = 5–70°:
d = 2.584 Å, 2θ = 34.7°, intensity 100; d = 2.775 Å, 2θ = 32.3°, intensity 37; d = 2.267 Å, 2θ = 39.8°, intensity 33; d = 3.015 Å, 2θ = 29.6°, intensity 27; d = 2.071 Å, 2θ = 43.7°, intensity 26; d = 3.744 Å, 2θ = 23.8°, intensity 18; d = 2.712 Å, 2θ = 33.0°, intensity 17; d = 1.783 Å, 2θ = 51.2°, intensity 16



(11)
# Ho2Pt3Au
Theoretical PXRD pattern, CuKα. Input: the GGA-PBE geometry in Alexandria.

Structural model:
a b c (Å): 7.1859 7.1859 7.1859
angles (deg): 113.24 101.14 114.34
Fractional positions:
Ho: 0.1696 0.2004 0.3701
Ho: 0.3304 0.7004 0.0308
Ho: 0.6696 0.2996 0.9692
Ho: 0.8304 0.7996 0.6299
Pt: 0.0431 0.7500 0.2931
Pt: 0.2500 0.2500 0.0000
Pt: 0.4569 0.7500 0.7069
Pt: 0.5431 0.2500 0.2931
Pt: 0.7500 0.7500 0.0000
Pt: 0.9569 0.2500 0.7069
Au: 0.0000 0.5000 0.5000
Au: 0.5000 0.0000 0.5000

Largest 8 diffraction maxima, most intense first, 2θ = 5–70°:
d = 2.295 Å, 2θ = 39.3°, intensity 100; d = 2.775 Å, 2θ = 32.3°, intensity 59; d = 1.977 Å, 2θ = 45.9°, intensity 47; d = 3.954 Å, 2θ = 22.5°, intensity 45; d = 2.371 Å, 2θ = 37.9°, intensity 42; d = 3.525 Å, 2θ = 25.3°, intensity 37; d = 1.948 Å, 2θ = 46.6°, intensity 32; d = 1.387 Å, 2θ = 67.5°, intensity 30



(12)
# Ho2PuAu
Theoretical PXRD pattern, CuKα. Input: the GGA-PBE geometry in Alexandria.

Structural model:
a b c (Å): 3.5532 3.5532 8.3368
angles (deg): 90.00 90.00 90.00
Fractional positions:
Ho: 0.0000 0.0000 0.2115
Ho: 0.0000 0.0000 0.7885
Pu: 0.5000 0.5000 0.5000
Au: 0.5000 0.5000 0.0000

Largest 8 diffraction maxima, most intense first, 2θ = 5–70°:
d = 2.704 Å, 2θ = 33.1°, intensity 100; d = 2.512 Å, 2θ = 35.7°, intensity 45; d = 1.485 Å, 2θ = 62.6°, intensity 33; d = 1.777 Å, 2θ = 51.4°, intensity 16; d = 1.604 Å, 2θ = 57.4°, intensity 16; d = 1.352 Å, 2θ = 69.5°, intensity 9; d = 2.084 Å, 2θ = 43.4°, intensity 9; d = 1.864 Å, 2θ = 48.9°, intensity 4